No. 1
Diffraction record for YTmGaRu. The powder X-ray diffraction pattern is simulated, not measured: it uses a PBE-relaxed structure and λ = 1.5418 Å (Cu Kα).

Top 10 peaks for 2θ = 15–90°, in order of rising 2θ:
2θ = 16.58°, d = 5.347 Å, intensity 21.0
2θ = 32.39°, d = 2.764 Å, intensity 100.0
2θ = 33.52°, d = 2.674 Å, intensity 19.2
2θ = 34.40°, d = 2.607 Å, intensity 39.6
2θ = 39.66°, d = 2.272 Å, intensity 29.5
2θ = 40.43°, d = 2.231 Å, intensity 55.2
2θ = 41.89°, d = 2.156 Å, intensity 28.1
2θ = 47.56°, d = 1.912 Å, intensity 19.4
2θ = 55.29°, d = 1.662 Å, intensity 23.9
2θ = 81.15°, d = 1.185 Å, intensity 15.6

Atomic structure:
Unit cell a=4.313 b=3.823 c=10.694 alpha=90.00 beta=90.00 gamma=90.00
Space group Amm2 (No. 38)
One atom of each set of equivalent atoms:
Y1 0.000 0.000 0.000 x2
Tm1 0.500 0.000 0.712 x2
Ga1 0.500 0.000 0.419 x2
Ru1 0.000 0.000 0.281 x2

---

No. 2
Diffraction record for LiTb4S5. The powder X-ray diffraction pattern is simulated, not measured: it uses a PBE-relaxed structure and λ = 1.5418 Å (Cu Kα).

Top 10 peaks for 2θ = 15–90°, in order of rising 2θ:
2θ = 27.91°, d = 3.197 Å, intensity 49.2
2θ = 28.15°, d = 3.171 Å, intensity 15.8
2θ = 32.41°, d = 2.763 Å, intensity 100.0
2θ = 46.34°, d = 1.959 Å, intensity 36.4
2θ = 46.64°, d = 1.947 Å, intensity 36.8
2θ = 55.10°, d = 1.667 Å, intensity 15.9
2θ = 57.68°, d = 1.598 Å, intensity 18.7
2θ = 76.99°, d = 1.239 Å, intensity 16.0
2θ = 77.44°, d = 1.232 Å, intensity 14.8
2θ = 86.13°, d = 1.129 Å, intensity 12.4

Atomic structure:
Unit cell a=3.9190 b=3.9190 c=47.5576 alpha=90.00 beta=90.00 gamma=120.00
Space group R-3m (No. 166, hexagonal axes)
One atom of each set of equivalent atoms:
Li1 0.0000 0.0000 0.0000 x3
Tb1 0.0000 0.0000 0.2006 x6
Tb2 0.0000 0.0000 0.3980 x6
S1 0.0000 0.0000 0.0988 x6
S2 0.0000 0.0000 0.3012 x6
S3 0.0000 0.0000 0.5000 x3

---

No. 3
Diffraction record for Ho3IrSe2. The powder X-ray diffraction pattern is simulated, not measured: it uses a PBE-relaxed structure and λ = 1.5418 Å (Cu Kα).

Top 10 peaks for 2θ = 15–90°, in order of rising 2θ:
2θ = 30.85°, d = 2.899 Å, intensity 100.0
2θ = 43.66°, d = 2.073 Å, intensity 12.2
2θ = 44.16°, d = 2.051 Å, intensity 48.3
2θ = 44.79°, d = 2.023 Å, intensity 11.8
2θ = 54.37°, d = 1.687 Å, intensity 12.4
2θ = 55.33°, d = 1.660 Å, intensity 13.0
2θ = 64.33°, d = 1.448 Å, intensity 7.3
2θ = 72.88°, d = 1.298 Å, intensity 10.5
2θ = 73.01°, d = 1.296 Å, intensity 9.8
2θ = 82.14°, d = 1.173 Å, intensity 7.2

Atomic structure:
Unit cell a=8.294 b=11.616 c=24.281 alpha=90.00 beta=90.00 gamma=90.00
Space group Fddd (No. 70, origin choice 2)
One atom of each set of equivalent atoms:
Ho1 0.103 0.375 0.375 x16
Ho2 0.113 0.364 0.213 x32
Ir1 0.125 0.125 0.042 x16
Se1 0.125 0.125 0.379 x16
Se2 0.125 0.125 0.545 x16

---

No. 4
Diffraction record for Er6Cd2Os. The powder X-ray diffraction pattern is simulated, not measured: it uses a PBE-relaxed structure and λ = 1.5418 Å (Cu Kα).

Top 10 peaks for 2θ = 15–90°, in order of rising 2θ:
2θ = 31.26°, d = 2.861 Å, intensity 100.0
2θ = 32.42°, d = 2.761 Å, intensity 55.0
2θ = 33.64°, d = 2.664 Å, intensity 75.8
2θ = 36.91°, d = 2.435 Å, intensity 50.3
2θ = 40.03°, d = 2.253 Å, intensity 49.3
2θ = 46.65°, d = 1.947 Å, intensity 21.9
2θ = 57.95°, d = 1.591 Å, intensity 21.1
2θ = 60.10°, d = 1.540 Å, intensity 36.5
2θ = 60.92°, d = 1.521 Å, intensity 23.2
2θ = 82.51°, d = 1.169 Å, intensity 11.6

Atomic structure:
Unit cell a=8.4359 b=8.4359 c=3.8944 alpha=90.00 beta=90.00 gamma=120.00
Space group P-62m (No. 189)
One atom of each set of equivalent atoms:
Er1 0.0000 0.3864 0.0000 x3
Er2 0.0000 0.7565 0.5000 x3
Cd1 0.3333 0.6667 0.5000 x2
Os1 0.0000 0.0000 0.0000 x1

---

No. 5
Diffraction record for Na2Pu2Br5Cl2. The powder X-ray diffraction pattern is simulated, not measured: it uses a PBE-relaxed structure and λ = 1.5418 Å (Cu Kα).

Top 10 peaks for 2θ = 15–90°, in order of rising 2θ:
2θ = 15.42°, d = 5.745 Å, intensity 100.0
2θ = 23.32°, d = 3.814 Å, intensity 19.2
2θ = 28.58°, d = 3.124 Å, intensity 21.9
2θ = 30.28°, d = 2.951 Å, intensity 57.7
2θ = 33.58°, d = 2.669 Å, intensity 38.6
2θ = 34.16°, d = 2.625 Å, intensity 29.4
2θ = 35.73°, d = 2.513 Å, intensity 35.7
2θ = 42.12°, d = 2.145 Å, intensity 34.2
2θ = 43.37°, d = 2.086 Å, intensity 25.1
2θ = 47.52°, d = 1.913 Å, intensity 28.8

Atomic structure:
Unit cell a=5.903 b=5.903 c=24.990 alpha=90.00 beta=90.00 gamma=90.00
Space group I4/mmm (No. 139)
One atom of each set of equivalent atoms:
Na1 0.000 0.000 0.172 x4
Pu1 0.000 0.000 0.384 x4
Br1 0.000 0.000 0.500 x2
Br2 0.000 0.500 0.122 x8
Cl1 0.000 0.000 0.277 x4

---

No. 6
Diffraction record for KPaCu2I8. The powder X-ray diffraction pattern is simulated, not measured: it uses a PBE-relaxed structure and λ = 1.5418 Å (Cu Kα).

Top 10 peaks for 2θ = 15–90°, in order of rising 2θ:
2θ = 15.18°, d = 5.837 Å, intensity 75.0
2θ = 21.62°, d = 4.111 Å, intensity 27.0
2θ = 23.16°, d = 3.841 Å, intensity 27.5
2θ = 24.72°, d = 3.601 Å, intensity 41.0
2θ = 25.87°, d = 3.444 Å, intensity 60.6
2θ = 27.15°, d = 3.284 Å, intensity 100.0
2θ = 29.91°, d = 2.987 Å, intensity 39.0
2θ = 40.14°, d = 2.247 Å, intensity 33.8
2θ = 41.53°, d = 2.175 Å, intensity 53.6
2θ = 42.91°, d = 2.108 Å, intensity 28.9

Atomic structure:
Unit cell a=11.964 b=8.431 c=10.493 alpha=90.00 beta=92.99 gamma=90.00
Space group C2/m (No. 12)
One atom of each set of equivalent atoms:
K1 0.000 0.000 0.000 x2
Pa1 0.000 0.000 0.500 x2
Cu1 0.140 0.500 0.272 x4
I1 0.005 0.250 0.702 x8
I2 0.205 0.500 0.052 x4
I3 0.248 0.000 0.508 x4